No. 1
Simulated XRD peak list
Compound: PrMg4In2
Radiation: Cu Kα, 1.54184 Å
Structure: a DFT-relaxed cell (PBE, Alexandria)
Kinematic intensities with the Lorentz-polarization factor, no thermal factor.

Most intense lines, 10 to 90 degrees two-theta, in order of rising 2θ:
- 2θ 14.43, intensity 347
- 2θ 23.87, intensity 489
- 2θ 29.09, intensity 475
- 2θ 29.87, intensity 1000
- 2θ 36.48, intensity 468
- 2θ 37.97, intensity 407

Structure:
```
data_PrMg4In2
_chemical_formula_sum 'Pr2 Mg8 In4'
_cell_length_a 8.682
_cell_length_b 8.682
_cell_length_c 4.691
_cell_angle_alpha 90.00
_cell_angle_beta 90.00
_cell_angle_gamma 90.00
_symmetry_space_group_name_H-M 'P 1'
_symmetry_Int_Tables_number 1
_symmetry_space_group_name_Hall 'P 1'
loop_
_atom_site_label
_atom_site_fract_x
_atom_site_fract_y
_atom_site_fract_z
Pr1 0.000 0.000 0.000
Pr2 0.500 0.500 0.500
Mg1 0.098 0.345 0.500
Mg2 0.155 0.598 0.000
Mg3 0.345 0.098 0.500
Mg4 0.402 0.845 0.000
Mg5 0.598 0.155 0.000
Mg6 0.655 0.902 0.500
Mg7 0.845 0.402 0.000
Mg8 0.902 0.655 0.500
In1 0.205 0.795 0.500
In2 0.295 0.295 0.000
In3 0.705 0.705 0.000
In4 0.795 0.205 0.500
```


No. 2
Simulated XRD peak list
Compound: UFePtRh
Radiation: Cu Kα, 1.54184 Å
Structure: a DFT-relaxed cell (PBE, Alexandria)
Kinematic intensities with the Lorentz-polarization factor, no thermal factor.

Most intense lines, 10 to 90 degrees two-theta, in order of rising 2θ:
- 2θ 23.03, intensity 174
- 2θ 30.98, intensity 171
- 2θ 38.95, intensity 1000
- 2θ 44.13, intensity 176
- 2θ 44.63, intensity 170
- 2θ 47.06, intensity 146

Structure:
```
data_UFePtRh
_chemical_formula_sum 'U1 Fe1 Pt1 Rh1'
_cell_length_a 3.862
_cell_length_b 4.060
_cell_length_c 4.105
_cell_angle_alpha 90.00
_cell_angle_beta 90.00
_cell_angle_gamma 90.00
_symmetry_space_group_name_H-M 'P 1'
_symmetry_Int_Tables_number 1
_symmetry_space_group_name_Hall 'P 1'
loop_
_atom_site_label
_atom_site_fract_x
_atom_site_fract_y
_atom_site_fract_z
U1 0.000 0.000 0.000
Fe1 0.500 0.500 0.000
Pt1 0.000 0.500 0.500
Rh1 0.500 0.000 0.500
```


No. 3
Simulated XRD peak list
Compound: SmInGaCu
Radiation: Cu Kα, 1.54184 Å
Structure: a DFT-relaxed cell (PBE, Alexandria)
Kinematic intensities with the Lorentz-polarization factor, no thermal factor.

Most intense lines, 10 to 90 degrees two-theta, in order of rising 2θ:
- 2θ 25.74, intensity 115
- 2θ 36.72, intensity 1000
- 2θ 52.90, intensity 171
- 2θ 66.12, intensity 342
- 2θ 78.09, intensity 105
- 2θ 89.54, intensity 153

Structure:
```
data_SmInGaCu
_chemical_formula_sum 'Sm1 In1 Ga1 Cu1'
_cell_length_a 4.895
_cell_length_b 4.895
_cell_length_c 4.895
_cell_angle_alpha 60.00
_cell_angle_beta 60.00
_cell_angle_gamma 60.00
_symmetry_space_group_name_H-M 'P 1'
_symmetry_Int_Tables_number 1
_symmetry_space_group_name_Hall 'P 1'
loop_
_atom_site_label
_atom_site_fract_x
_atom_site_fract_y
_atom_site_fract_z
Sm1 0.000 0.000 0.000
In1 0.500 0.500 0.500
Ga1 0.250 0.250 0.250
Cu1 0.750 0.750 0.750
```


No. 4
Simulated XRD peak list
Compound: LiSc2IrO6
Radiation: Cu Kα, 1.54184 Å
Structure: a DFT-relaxed cell (PBE, Alexandria)
Kinematic intensities with the Lorentz-polarization factor, no thermal factor.

Most intense lines, 10 to 90 degrees two-theta, in order of rising 2θ:
- 2θ 18.34, intensity 460
- 2θ 20.42, intensity 1000
- 2θ 23.04, intensity 451
- 2θ 31.51, intensity 445
- 2θ 34.06, intensity 434
- 2θ 38.95, intensity 443

Structure:
```
data_LiSc2IrO6
_chemical_formula_sum 'Li1 Sc2 Ir1 O6'
_cell_length_a 5.713
_cell_length_b 5.713
_cell_length_c 5.713
_cell_angle_alpha 54.87
_cell_angle_beta 54.87
_cell_angle_gamma 54.87
_symmetry_space_group_name_H-M 'P 1'
_symmetry_Int_Tables_number 1
_symmetry_space_group_name_Hall 'P 1'
loop_
_atom_site_label
_atom_site_fract_x
_atom_site_fract_y
_atom_site_fract_z
Li1 0.000 0.000 0.000
Sc1 0.270 0.270 0.270
Sc2 0.779 0.779 0.779
Ir1 0.467 0.467 0.467
O1 0.081 0.669 0.385
O2 0.206 0.553 0.853
O3 0.385 0.081 0.669
O4 0.553 0.853 0.206
O5 0.669 0.385 0.081
O6 0.853 0.206 0.553
```


Question: Which formula does entry 1 have?
Answer: PrMg4In2